Entry 1:
This entry pairs a crystal structure of TiInSnF6 with its calculated powder diffractogram. Radiation: a wavelength of 1.5418 Å. Structure: a crystal structure in Alexandria, relaxed with PBE.

Atomic structure:
```
TiInSnF6
1.0
5.1417 0.0000 0.0000
0.1148 5.9180 0.0000
0.0155 2.8576 5.3260
Ti In Sn F
1 1 1 6
Cartesian
0.0000 0.0000 0.0000 Ti
2.3990 2.9217 1.7220 In
4.8421 5.9325 3.5497 Sn
1.0761 6.1789 1.8312 F
1.1038 4.1102 4.3067 F
1.1698 7.0684 4.7147 F
4.0808 1.6149 0.4719 F
4.1371 4.7292 0.9885 F
4.1864 2.3410 3.6201 F
```

Principal peaks in the range 2θ from 10° to 90°, in order of rising 2θ:
- 17.26 deg, I = 28
- 24.01 deg, I = 100
- 24.15 deg, I = 39
- 24.35 deg, I = 52
- 24.57 deg, I = 58
- 24.67 deg, I = 30
- 29.08 deg, I = 39
- 29.59 deg, I = 40
- 30.21 deg, I = 35
- 39.04 deg, I = 36
- 39.45 deg, I = 31
- 46.33 deg, I = 34

***

Entry 2:
This entry pairs a crystal structure of Zr2InSnF with its calculated powder diffractogram. Radiation: a wavelength of 1.5418 Å. Structure: a crystal structure in Alexandria, relaxed with PBE.

Atomic structure:
```
Zr2InSnF
1.0
5.4888 0.0000 0.0000
0.0000 5.4888 0.0000
0.0000 0.0000 4.2524
Zr In Sn F
2 1 1 1
Cartesian
0.0000 2.7444 0.0000 Zr
2.7444 0.0000 0.0000 Zr
0.0000 0.0000 0.0000 In
2.7444 2.7444 2.1262 Sn
0.0000 0.0000 2.1262 F
```

Principal peaks in the range 2θ from 10° to 90°, in order of rising 2θ:
- 20.89 deg, I = 21
- 26.52 deg, I = 81
- 31.20 deg, I = 51
- 32.63 deg, I = 100
- 39.06 deg, I = 16
- 42.52 deg, I = 71
- 46.81 deg, I = 36
- 54.60 deg, I = 56
- 57.34 deg, I = 18
- 65.08 deg, I = 40
- 68.36 deg, I = 17
- 77.82 deg, I = 24

***

Entry 3:
This entry pairs a crystal structure of TaInF5 with its calculated powder diffractogram. Radiation: a wavelength of 1.5418 Å. Structure: a crystal structure in Alexandria, relaxed with PBE.

Atomic structure:
```
TaInF5
1.0
5.8428 -4.1764 0.0000
5.8428 4.1764 0.0000
-5.6932 0.0000 5.8853
Ta In F
2 2 10
Cartesian
5.8428 -4.1759 0.0000 Ta
2.9962 4.1759 2.9427 Ta
1.9707 0.0024 3.9840 In
4.8172 -0.0024 1.0414 In
1.5754 4.1580 4.4132 F
1.4190 -0.0018 1.3727 F
-1.4276 0.0018 4.3153 F
5.8341 2.2008 0.0070 F
3.0145 2.2007 2.9252 F
2.9875 -2.2008 2.9496 F
0.1679 -2.2007 5.8679 F
7.4185 0.0002 1.5718 F
4.5719 -0.0002 4.5144 F
4.4219 -4.1580 1.4706 F
```

Principal peaks in the range 2θ from 10° to 90°, in order of rising 2θ:
- 14.96 deg, I = 35
- 21.16 deg, I = 100
- 21.27 deg, I = 99
- 21.71 deg, I = 34
- 26.40 deg, I = 75
- 26.53 deg, I = 74
- 30.18 deg, I = 46
- 40.36 deg, I = 22
- 40.63 deg, I = 66
- 43.08 deg, I = 23
- 43.33 deg, I = 23
- 48.54 deg, I = 25

***

Entry 4:
This entry pairs a crystal structure of In2TeF2 with its calculated powder diffractogram. Radiation: a wavelength of 1.5418 Å. Structure: a crystal structure in Alexandria, relaxed with PBE.

Atomic structure:
```
In2TeF2
1.0
-1.9663 1.9663 6.4968
1.9663 -1.9663 6.4968
1.9663 1.9663 -6.4968
In Te F
2 1 2
Cartesian
0.0000 0.0000 1.7623 In
0.0000 0.0000 11.2313 In
0.0000 0.0000 6.4968 Te
1.9663 0.0000 3.2484 F
0.0000 1.9663 3.2484 F
```

Principal peaks in the range 2θ from 10° to 90°, in order of rising 2θ:
- 30.71 deg, I = 100
- 32.19 deg, I = 44
- 35.10 deg, I = 12
- 41.66 deg, I = 25
- 42.81 deg, I = 8
- 46.17 deg, I = 24
- 53.64 deg, I = 12
- 56.47 deg, I = 34
- 63.93 deg, I = 16
- 66.69 deg, I = 9
- 67.35 deg, I = 7
- 76.00 deg, I = 9

***

Entry 5:
This entry pairs a crystal structure of TiInF4 with its calculated powder diffractogram. Radiation: a wavelength of 1.5418 Å. Structure: a crystal structure in Alexandria, relaxed with PBE.

Atomic structure:
```
TiInF4
1.0
7.9943 0.0000 0.0000
0.0000 7.9943 0.0000
0.0000 0.0000 3.8748
Ti In F
2 2 8
Cartesian
1.9986 5.9957 0.0000 Ti
5.9957 1.9986 0.0000 Ti
1.9986 1.9986 1.8587 In
5.9957 5.9957 2.0161 In
0.2925 5.9957 0.7729 F
1.9986 4.2896 3.1019 F
1.9986 7.7018 3.1019 F
3.7047 5.9957 0.7729 F
4.2896 1.9986 3.1019 F
5.9957 0.2925 0.7729 F
5.9957 3.7047 0.7729 F
7.7018 1.9986 3.1019 F
```

Principal peaks in the range 2θ from 10° to 90°, in order of rising 2θ:
- 15.68 deg, I = 15
- 22.24 deg, I = 88
- 27.92 deg, I = 100
- 34.12 deg, I = 13
- 35.51 deg, I = 13
- 42.71 deg, I = 54
- 45.38 deg, I = 22
- 51.10 deg, I = 15
- 52.49 deg, I = 14
- 57.69 deg, I = 19
- 64.07 deg, I = 18
- 71.86 deg, I = 12

***

Entry 6:
This entry pairs a crystal structure of TiIn6F12 with its calculated powder diffractogram. Radiation: a wavelength of 1.5418 Å. Structure: a crystal structure in Alexandria, relaxed with PBE.

Atomic structure:
```
TiIn6F12
1.0
5.7709 3.3318 3.1859
-5.7709 3.3318 3.1859
0.0000 -6.6636 3.1859
Ti In F
1 6 12
Cartesian
0.0000 0.0000 0.0000 Ti
-0.8377 -2.3569 3.3354 In
-1.6223 1.9040 3.3354 In
-2.4601 -0.4530 6.2222 In
2.4600 0.4530 3.3355 In
1.6223 -1.9040 6.2222 In
0.8377 2.3569 6.2222 In
-0.4331 -1.4971 1.0895 F
-1.0800 1.1237 1.0895 F
-1.8776 -0.3527 3.6653 F
1.5131 0.3735 1.0895 F
1.2442 -1.4497 3.6653 F
-0.6334 -1.8023 5.8923 F
0.6334 1.8023 3.6653 F
-1.2442 1.4497 5.8923 F
-1.5131 -0.3735 8.4681 F
1.8776 0.3527 5.8923 F
1.0800 -1.1237 8.4681 F
0.4331 1.4971 8.4681 F
```

Principal peaks in the range 2θ from 10° to 90°, in order of rising 2θ:
- 25.35 deg, I = 100
- 28.01 deg, I = 24
- 30.15 deg, I = 41
- 41.40 deg, I = 29
- 44.88 deg, I = 23
- 49.17 deg, I = 14
- 50.72 deg, I = 29
- 52.06 deg, I = 15
- 53.74 deg, I = 10
- 62.70 deg, I = 8
- 66.17 deg, I = 13
- 68.59 deg, I = 11

***

Entry 7:
This entry pairs a crystal structure of TiTlIn2F6 with its calculated powder diffractogram. Radiation: a wavelength of 1.5418 Å. Structure: a crystal structure in Alexandria, relaxed with PBE.

Atomic structure:
```
TiTlIn2F6
1.0
6.1924 0.0000 0.0000
0.0000 9.1076 0.0000
0.0000 0.0000 7.4046
Ti Tl In F
2 2 4 12
Cartesian
1.5481 2.2769 1.5497 Ti
4.6443 6.8307 5.8549 Ti
1.5481 6.8307 2.3195 Tl
4.6443 2.2769 5.0851 Tl
1.5481 5.0086 6.0490 In
1.5481 8.6528 6.0490 In
4.6443 0.4548 1.3556 In
4.6443 4.0990 1.3556 In
0.0533 2.2769 2.8599 F
0.0770 6.8307 7.1606 F
1.5481 0.3505 1.3600 F
1.5481 4.2033 1.3600 F
3.0191 6.8307 7.1606 F
3.0429 2.2769 2.8599 F
3.1495 6.8307 4.5447 F
3.1732 2.2769 0.2440 F
4.6443 4.9043 6.0446 F
4.6443 8.7570 6.0446 F
6.1153 2.2769 0.2440 F
6.1391 6.8307 4.5447 F
```

Principal peaks in the range 2θ from 10° to 90°, in order of rising 2θ:
- 17.32 deg, I = 47
- 24.04 deg, I = 25
- 27.13 deg, I = 100
- 28.08 deg, I = 24
- 28.84 deg, I = 30
- 31.86 deg, I = 22
- 37.88 deg, I = 25
- 39.20 deg, I = 17
- 41.62 deg, I = 20
- 43.50 deg, I = 27
- 49.84 deg, I = 19
- 50.06 deg, I = 18

***

Entry 8:
This entry pairs a crystal structure of Tl2InF5 with its calculated powder diffractogram. Radiation: a wavelength of 1.5418 Å. Structure: a crystal structure in Alexandria, relaxed with PBE.

Atomic structure:
```
Tl2InF5
1.0
11.4117 0.0000 0.0000
0.0000 7.3061 0.0000
0.0000 0.0000 6.8961
Tl In F
8 4 20
Cartesian
1.9290 0.0187 0.2502 Tl
1.9290 3.6344 0.2502 Tl
3.7769 3.6717 3.6983 Tl
3.7769 7.2875 3.6983 Tl
7.6348 0.0187 3.1978 Tl
7.6348 3.6344 3.1978 Tl
9.4827 3.6717 6.6459 Tl
9.4827 7.2875 6.6459 Tl
0.0126 1.8265 3.8311 In
5.6932 5.4796 0.3831 In
5.7184 1.8265 6.5130 In
11.3991 5.4796 3.0650 In
0.2328 1.8265 5.9667 F
0.6950 3.9689 4.4795 F
0.6950 6.9903 4.4795 F
1.8542 1.8265 2.8203 F
2.0286 5.4796 2.4609 F
3.6772 1.8265 5.9089 F
3.8516 5.4796 6.2683 F
5.0109 0.3158 1.0314 F
5.0109 3.3373 1.0314 F
5.4730 5.4796 2.5187 F
5.9387 1.8265 4.3774 F
6.4008 3.9689 5.8647 F
6.4008 6.9903 5.8647 F
7.5601 1.8265 0.6278 F
7.7345 5.4796 0.9872 F
9.3830 1.8265 4.4352 F
9.5574 5.4796 4.0758 F
10.7167 0.3158 2.4166 F
10.7167 3.3373 2.4166 F
11.1788 5.4796 0.9294 F
```

Principal peaks in the range 2θ from 10° to 90°, in order of rising 2θ:
- 24.37 deg, I = 19
- 25.84 deg, I = 48
- 26.77 deg, I = 100
- 28.74 deg, I = 61
- 29.02 deg, I = 34
- 36.51 deg, I = 44
- 36.70 deg, I = 16
- 39.24 deg, I = 28
- 40.09 deg, I = 16
- 46.14 deg, I = 16
- 48.87 deg, I = 21
- 57.55 deg, I = 24

***

Entry 9:
This entry pairs a crystal structure of TlIn2F3 with its calculated powder diffractogram. Radiation: a wavelength of 1.5418 Å. Structure: a crystal structure in Alexandria, relaxed with PBE.

Atomic structure:
```
TlIn2F3
1.0
6.0570 0.0000 0.0000
-2.7038 5.7282 0.0000
-0.0593 -1.5495 8.2753
Tl In F
2 4 6
Cartesian
0.0932 1.8610 0.6885 Tl
3.2007 2.3177 7.5867 Tl
-0.0590 0.5564 5.2037 In
0.3504 4.0504 5.5594 In
2.9435 0.1283 2.7159 In
3.3529 3.6223 3.0715 In
-1.1286 4.3685 1.5404 F
1.2898 -0.6882 6.6047 F
0.2609 2.0915 6.9710 F
3.0330 2.0871 1.3042 F
2.0041 4.8668 1.6706 F
4.4225 -0.1898 6.7349 F
```

Principal peaks in the range 2θ from 10° to 90°, in order of rising 2θ:
- 20.65 deg, I = 40
- 25.88 deg, I = 87
- 26.31 deg, I = 100
- 27.25 deg, I = 70
- 27.68 deg, I = 31
- 28.69 deg, I = 80
- 29.04 deg, I = 72
- 29.54 deg, I = 89
- 35.10 deg, I = 46
- 43.75 deg, I = 29
- 47.68 deg, I = 36
- 52.73 deg, I = 24

***

Entry 10:
This entry pairs a crystal structure of Tl3In2F9 with its calculated powder diffractogram. Radiation: a wavelength of 1.5418 Å. Structure: a crystal structure in Alexandria, relaxed with PBE.

Atomic structure:
```
Tl3In2F9
1.0
5.5038 3.1776 4.8975
-5.5038 3.1776 4.8975
0.0000 -6.3553 4.8975
Tl In F
6 4 18
Cartesian
-1.8313 -3.1776 6.1219 Tl
-3.6676 -0.0029 8.5706 Tl
-1.8363 3.1748 6.1219 Tl
1.8363 -3.1748 8.5706 Tl
3.6676 0.0029 6.1219 Tl
1.8313 3.1776 8.5706 Tl
0.0000 0.0000 2.0946 In
0.0000 0.0000 5.2516 In
0.0000 0.0000 9.4409 In
0.0000 0.0000 12.5979 In
-4.6698 1.4941 6.1666 F
-3.6288 -3.2971 8.5259 F
-0.7751 -1.3425 3.6731 F
-1.8750 -0.1195 6.0771 F
-0.7751 1.3425 3.6731 F
1.0410 -4.7912 6.1666 F
1.5502 0.0000 3.6731 F
-0.8341 -1.6836 8.6154 F
1.0410 -1.5641 6.0771 F
-1.0410 1.5641 8.6154 F
0.8341 1.6836 6.0771 F
-1.5502 0.0000 11.0194 F
-1.0410 4.7912 8.5259 F
0.7751 -1.3425 11.0194 F
1.8750 0.1195 8.6154 F
0.7751 1.3425 11.0194 F
3.6288 3.2971 6.1666 F
4.6698 -1.4941 8.5259 F
```

Principal peaks in the range 2θ from 10° to 90°, in order of rising 2θ:
- 24.33 deg, I = 100
- 28.08 deg, I = 97
- 37.49 deg, I = 66
- 40.31 deg, I = 20
- 46.84 deg, I = 13
- 47.49 deg, I = 34
- 49.70 deg, I = 21
- 49.85 deg, I = 18
- 58.05 deg, I = 20
- 58.19 deg, I = 16
- 63.87 deg, I = 16
- 66.61 deg, I = 12

***

Entry 11:
This entry pairs a crystal structure of TlIn3F9 with its calculated powder diffractogram. Radiation: a wavelength of 1.5418 Å. Structure: a crystal structure in Alexandria, relaxed with PBE.

Atomic structure:
```
TlIn3F9
1.0
8.1697 0.0000 0.0000
-4.0848 7.0751 0.0000
0.0000 0.0000 4.2678
Tl In F
1 3 9
Cartesian
0.0000 0.0000 0.0000 Tl
-2.0424 3.5376 2.1339 In
4.0848 0.0000 2.1339 In
2.0424 3.5376 2.1339 In
-2.0424 3.5376 0.0000 F
0.0000 2.8510 2.1339 F
-1.6158 5.6496 2.1339 F
2.4690 1.4255 2.1339 F
4.0848 0.0000 0.0000 F
2.0424 3.5376 0.0000 F
1.6158 5.6496 2.1339 F
5.7006 1.4255 2.1339 F
4.0848 4.2242 2.1339 F
```

Principal peaks in the range 2θ from 10° to 90°, in order of rising 2θ:
- 24.36 deg, I = 64
- 25.17 deg, I = 100
- 30.29 deg, I = 41
- 39.78 deg, I = 21
- 42.36 deg, I = 14
- 43.86 deg, I = 18
- 44.35 deg, I = 31
- 49.91 deg, I = 31
- 51.24 deg, I = 19
- 51.68 deg, I = 16
- 63.00 deg, I = 20
- 85.75 deg, I = 14

***

Entry 12:
This entry pairs a crystal structure of TlInF3 with its calculated powder diffractogram. Radiation: a wavelength of 1.5418 Å. Structure: a crystal structure in Alexandria, relaxed with PBE.

Atomic structure:
```
TlInF3
1.0
8.5971 0.0000 0.0000
0.0000 5.0277 0.0000
-5.7378 0.0000 8.7035
Tl In F
4 4 12
Cartesian
-0.4049 1.0086 1.3253 Tl
-3.2738 1.5053 5.6770 Tl
6.1331 3.5224 3.0265 Tl
3.2642 4.0191 7.3783 Tl
0.6419 0.9984 4.9728 In
3.5107 1.5154 0.6210 In
-0.6514 3.5123 8.0825 In
2.2175 4.0293 3.7308 In
-1.3629 0.5458 4.1937 F
-4.2318 1.9681 8.5455 F
0.5604 2.5760 3.2750 F
-2.3085 4.9656 7.6267 F
2.3526 0.0615 1.7201 F
-0.5163 2.4523 6.0719 F
3.3757 2.5754 2.6316 F
0.5068 4.9662 6.9834 F
5.1679 0.0621 1.0768 F
2.2990 2.4517 5.4286 F
7.0911 3.0596 0.1580 F
4.2222 4.4819 4.5098 F
```

Principal peaks in the range 2θ from 10° to 90°, in order of rising 2θ:
- 21.58 deg, I = 27
- 24.81 deg, I = 50
- 27.10 deg, I = 100
- 28.15 deg, I = 99
- 29.28 deg, I = 19
- 34.49 deg, I = 26
- 35.72 deg, I = 24
- 41.81 deg, I = 28
- 43.98 deg, I = 18
- 44.39 deg, I = 21
- 50.50 deg, I = 17
- 53.50 deg, I = 18